Record 1
Simulated powder X-ray diffraction pattern of CsBaCa2P for Cu Kα, 1.54184 Å, from a cell relaxed with PBE.

Crystal structure
Unit cell a=5.868 b=5.868 c=6.556 alpha=90.00 beta=90.00 gamma=90.00
Space group P4/mmm (No. 123)
One atom of each set of equivalent atoms:
Cs 0.000 0.000 0.000 [1 per cell]
Ba 0.500 0.500 0.000 [1 per cell]
Ca 0.000 0.500 0.500 [2 per cell]
P 0.500 0.500 0.500 [1 per cell]

Peak list (12 most intense, 2θ = 5–70°, by intensity)
h k l, Position (°2θ), I_rel
1 1 1, 25.40, 100
2 0 0, 30.46, 45
2 0 2, 41.30, 39
1 1 0, 21.41, 32
0 0 2, 27.20, 30
3 1 1, 51.16, 28
2 2 2, 52.18, 22
0 0 1, 13.51, 20
1 1 2, 34.88, 19
1 1 3, 46.99, 18
2 2 0, 43.62, 16
3 1 3, 66.05, 13

---

Record 2
Simulated powder X-ray diffraction pattern of BaCa2Cu for Cu Kα, 1.54184 Å, from a cell relaxed with PBE.

Crystal structure
Unit cell a=4.2483 b=4.2483 c=30.5335 alpha=90.00 beta=90.00 gamma=120.00
Space group R-3m (No. 166, hexagonal axes)
One atom of each set of equivalent atoms:
Ba 0.0000 0.0000 0.0000 [3 per cell]
Ca 0.0000 0.0000 0.2185 [6 per cell]
Cu 0.0000 0.0000 0.5000 [3 per cell]

Peak list (12 most intense, 2θ = 5–70°, by intensity)
h k l, Position (°2θ), I_rel
1 0 4, 26.90, 100
0 0 6, 17.43, 39
1 1 0, 42.56, 34
0 1 8, 33.84, 32
1 0 10, 38.31, 31
0 1 2, 24.89, 26
0 1 5, 28.32, 23
0 1 14, 48.52, 22
1 1 6, 46.32, 19
0 2 4, 51.07, 16
2 1 4, 68.60, 13
1 0 1, 24.37, 12

---

Record 3
Simulated powder X-ray diffraction pattern of Ba2CaEu2Ti3Cu2O14 for Cu Kα, 1.54184 Å, from a cell relaxed with PBE.

Crystal structure
Unit cell a=3.915 b=3.915 c=19.977 alpha=90.00 beta=90.00 gamma=90.00
Space group P4mm (No. 99)
One atom of each set of equivalent atoms:
Ba 0.000 0.000 0.000 [1 per cell]
Ba 0.000 0.000 0.381 [1 per cell]
Ca 0.000 0.000 0.799 [1 per cell]
Eu 0.000 0.000 0.190 [1 per cell]
Eu 0.000 0.000 0.592 [1 per cell]
Ti 0.500 0.500 0.491 [1 per cell]
Ti 0.500 0.500 0.692 [1 per cell]
Ti 0.500 0.500 0.890 [1 per cell]
Cu 0.500 0.500 0.103 [1 per cell]
Cu 0.500 0.500 0.278 [1 per cell]
O 0.000 0.500 0.114 [2 per cell]
O 0.000 0.500 0.266 [2 per cell]
O 0.000 0.500 0.499 [2 per cell]
O 0.000 0.500 0.684 [2 per cell]
O 0.000 0.500 0.881 [2 per cell]
O 0.500 0.500 0.396 [1 per cell]
O 0.500 0.500 0.592 [1 per cell]
O 0.500 0.500 0.785 [1 per cell]
O 0.500 0.500 0.983 [1 per cell]

Peak list (12 most intense, 2θ = 5–70°, by intensity)
h k l, Position (°2θ), I_rel
1 0 5, 32.01, 100
1 1 0, 32.34, 47
2 1 5, 57.47, 37
2 0 0, 46.39, 33
1 1 5, 39.61, 25
1 1 10, 56.84, 17
2 0 10, 66.93, 15
0 0 10, 45.40, 13
1 0 0, 22.72, 12
2 2 0, 67.70, 10
0 0 2, 8.85, 9
1 0 6, 35.39, 7

---

Record 4
Simulated powder X-ray diffraction pattern of Ba2Ca2EuTi3Cu2O14 for Cu Kα, 1.54184 Å, from a cell relaxed with PBE.

Crystal structure
Unit cell a=3.920 b=3.920 c=19.737 alpha=90.00 beta=90.00 gamma=90.00
Space group P4/mmm (No. 123)
One atom of each set of equivalent atoms:
Ba 0.000 0.000 0.195 [2 per cell]
Ca 0.000 0.000 0.400 [2 per cell]
Eu 0.000 0.000 0.000 [1 per cell]
Ti 0.500 0.500 0.302 [2 per cell]
Ti 0.500 0.500 0.500 [1 per cell]
Cu 0.500 0.500 0.092 [2 per cell]
O 0.000 0.500 0.076 [4 per cell]
O 0.000 0.500 0.307 [4 per cell]
O 0.000 0.500 0.500 [2 per cell]
O 0.500 0.500 0.204 [2 per cell]
O 0.500 0.500 0.403 [2 per cell]

Peak list (12 most intense, 2θ = 5–70°, by intensity)
h k l, Position (°2θ), I_rel
1 0 5, 32.18, 100
1 1 0, 32.30, 46
2 1 5, 57.53, 37
2 0 0, 46.33, 35
1 1 5, 39.74, 20
1 1 10, 57.31, 20
2 0 10, 67.33, 17
0 0 10, 45.98, 15
1 0 6, 35.63, 12
1 0 1, 23.14, 11
2 2 0, 67.60, 10
1 0 4, 29.10, 7

---

Record 5
Simulated powder X-ray diffraction pattern of BaCaCuF7 for Cu Kα, 1.54184 Å, from a cell relaxed with PBE.

Crystal structure
Unit cell a=5.622 b=10.976 c=9.529 alpha=90.00 beta=92.41 gamma=90.00
Space group P2_1/c (No. 14)
One atom of each set of equivalent atoms:
Ba 0.229 0.151 0.480 [4 per cell]
Ca 0.223 0.574 0.359 [4 per cell]
Cu 0.306 0.654 0.697 [4 per cell]
F 0.030 0.732 0.773 [4 per cell]
F 0.110 0.526 0.143 [4 per cell]
F 0.147 0.516 0.609 [4 per cell]
F 0.218 0.736 0.525 [4 per cell]
F 0.404 0.558 0.855 [4 per cell]
F 0.414 0.106 0.906 [4 per cell]
F 0.498 0.710 0.269 [4 per cell]

Peak list (12 most intense, 2θ = 5–70°, by intensity)
h k l, Position (°2θ), I_rel
1 2 -1, 24.27, 100
1 1 2, 26.33, 51
1 1 -2, 25.34, 39
1 2 1, 24.79, 38
0 3 3, 37.52, 33
0 2 4, 41.35, 31
2 0 2, 37.86, 29
3 2 -1, 52.11, 26
2 0 0, 31.86, 24
0 1 3, 29.30, 23
0 3 1, 26.09, 20
1 3 1, 30.85, 20